Record 1
Diffraction record for Na2Ni3P4O14. The powder X-ray diffraction pattern is calculated, not measured: it uses a crystal structure in the Materials Project, relaxed with PBE+U and Cu Kα, 1.54184 Å.

Main lines, sorted by position (10 to 90 degrees two-theta):
2θ 12.84, d 6.896, I 100, hkl 1 0 0
2θ 27.66, d 3.225, I 68, hkl 1 0 2
2θ 28.92, d 3.088, I 45, hkl 1 2 1
2θ 29.25, d 3.053, I 66, hkl 1 2 -2
2θ 29.75, d 3.003, I 63, hkl 1 1 2
2θ 38.25, d 2.353, I 41, hkl 3 1 -1

Cell and atoms:
Cell: 7.4092 8.2284 9.5008 Å, 90.00 111.44 90.00°
Space group P2_1/c (No. 14)
One atom of each set of equivalent atoms:
Na: 0.1895 0.0822 0.1221 x4
Ni: 0.3208 0.1184 0.4865 x4
Ni: 0.5000 0.0000 0.0000 x2
P: 0.1008 0.0404 0.7090 x4
P: 0.3899 0.7013 0.1940 x4
O: 0.1106 0.5073 0.8140 x4
O: 0.1302 0.1512 0.5908 x4
O: 0.1827 0.6385 0.1873 x4
O: 0.2212 0.0987 0.8718 x4
O: 0.3611 0.6360 0.6159 x4
O: 0.4746 0.5755 0.1136 x4
O: 0.4877 0.2031 0.1340 x4



Record 2
Diffraction record for Na2ZrNiP4O14. The powder X-ray diffraction pattern is calculated, not measured: it uses a crystal structure in the Materials Project, relaxed with PBE+U and Cu Kα, 1.54184 Å.

Main lines, sorted by position (10 to 90 degrees two-theta):
2θ 15.68, d 5.653, I 100, hkl 0 1 1
2θ 27.32, d 3.264, I 82, hkl 0 2 1
2θ 27.87, d 3.202, I 91, hkl 0 0 2
2θ 28.78, d 3.102, I 74, hkl 1 2 1
2θ 30.47, d 2.934, I 88, hkl 2 0 1
2θ 31.06, d 2.879, I 89, hkl 2 0 -1

Cell and atoms:
Cell: 6.5912 6.6121 7.0139 Å, 65.95 85.48 81.85°
Space group P1 (No. 1)
One atom of each set of equivalent atoms:
Na: 0.0000 0.0000 0.0000 x1
Na: 0.2838 0.3943 0.6924 x1
Zr: 0.7549 0.7900 0.6076 x1
Ni: 0.4402 0.6101 0.0573 x1
P: 0.2384 0.9371 0.5770 x1
P: 0.4761 0.0637 0.1630 x1
P: 0.7128 0.3565 0.4628 x1
P: 0.9651 0.4964 0.0592 x1
O: 0.0394 0.3406 0.9566 x1
O: 0.0717 0.7938 0.5701 x1
O: 0.1225 0.6322 0.0836 x1
O: 0.1633 0.0983 0.6721 x1
O: 0.3010 0.0703 0.3386 x1
O: 0.4111 0.9265 0.0561 x1
O: 0.4297 0.7684 0.6856 x1
O: 0.4909 0.3068 0.0202 x1
O: 0.5052 0.4614 0.3666 x1
O: 0.6751 0.9494 0.2928 x1
O: 0.7127 0.1103 0.6147 x1
O: 0.7686 0.6588 0.9466 x1
O: 0.7872 0.4892 0.5752 x1
O: 0.8815 0.3473 0.2901 x1



Record 3
Diffraction record for RbNa2NiO2. The powder X-ray diffraction pattern is calculated, not measured: it uses a crystal structure in the Materials Project, relaxed with PBE+U and Cu Kα, 1.54184 Å.

Main lines, sorted by position (10 to 90 degrees two-theta):
2θ 27.14, d 3.286, I 50, hkl 1 1 0
2θ 32.91, d 2.721, I 100, hkl 1 1 2
2θ 37.03, d 2.428, I 22, hkl 0 0 4
2θ 38.75, d 2.324, I 54, hkl 2 0 0
2θ 54.68, d 1.679, I 27, hkl 2 0 4
2θ 66.47, d 1.407, I 25, hkl 3 1 2

Cell and atoms:
Cell: 4.6472 4.6472 9.7106 Å, 90.00 90.00 90.00°
Space group I4/mmm (No. 139)
One atom of each set of equivalent atoms:
Rb: 0.0000 0.0000 0.0000 x2
Na: 0.0000 0.5000 0.2500 x4
Ni: 0.0000 0.0000 0.5000 x2
O: 0.0000 0.0000 0.3171 x4



Record 4
Diffraction record for Na6NiS4O16. The powder X-ray diffraction pattern is calculated, not measured: it uses a crystal structure in the Materials Project, relaxed with PBE+U and Cu Kα, 1.54184 Å.

Main lines, sorted by position (10 to 90 degrees two-theta):
2θ 15.01, d 5.902, I 57, hkl 0 1 1
2θ 21.80, d 4.078, I 74, hkl 2 1 0
2θ 25.47, d 3.497, I 91, hkl 2 1 -2
2θ 28.31, d 3.152, I 100, hkl 2 1 1
2θ 29.27, d 3.051, I 59, hkl 3 0 -2
2θ 30.29, d 2.951, I 77, hkl 0 2 2

Cell and atoms:
Cell: 9.9338 9.2820 8.3667 Å, 90.00 113.96 90.00°
Space group P2_1/c (No. 14)
One atom of each set of equivalent atoms:
Na: 0.0536 0.1513 0.4103 x4
Na: 0.1893 0.0153 0.0327 x4
Na: 0.3896 0.6378 0.3160 x4
Ni: 0.5000 0.0000 0.5000 x2
S: 0.1632 0.6469 0.8478 x4
S: 0.3603 0.1948 0.7754 x4
O: 0.0385 0.6029 0.6827 x4
O: 0.1468 0.5843 0.0010 x4
O: 0.1700 0.6931 0.3594 x4
O: 0.2113 0.2447 0.1785 x4
O: 0.3021 0.5931 0.8348 x4
O: 0.3647 0.1035 0.9231 x4
O: 0.4064 0.1060 0.6586 x4
O: 0.4697 0.1839 0.3452 x4



Record 5
Diffraction record for Na2NiS2O14. The powder X-ray diffraction pattern is calculated, not measured: it uses a crystal structure in the Materials Project, relaxed with PBE+U and Cu Kα, 1.54184 Å.

Main lines, sorted by position (10 to 90 degrees two-theta):
2θ 22.26, d 3.994, I 44, hkl 0 0 2
2θ 23.14, d 3.844, I 96, hkl 1 1 1
2θ 24.21, d 3.676, I 81, hkl 1 0 -2
2θ 25.97, d 3.430, I 100, hkl 0 3 1
2θ 32.86, d 2.725, I 39, hkl 2 1 -1
2θ 41.45, d 2.179, I 40, hkl 1 3 -3

Cell and atoms:
Cell: 5.6447 11.3954 8.2291 Å, 90.00 103.92 90.00°
Space group P2_1/c (No. 14)
One atom of each set of equivalent atoms:
Na: 0.1548 0.1597 0.3619 x4
Ni: 0.5000 0.0000 0.0000 x2
S: 0.2282 0.6374 0.9097 x4
O: 0.0544 0.7366 0.8877 x4
O: 0.1425 0.5487 0.7696 x4
O: 0.2010 0.5617 0.5008 x4
O: 0.2314 0.5735 0.0662 x4
O: 0.3166 0.1118 0.8711 x4
O: 0.4065 0.1091 0.1320 x4
O: 0.4756 0.6789 0.9049 x4